[1]
Theoretical powder diffractogram of Ba2Ag8S7 for Cu Kα, from a PBE-relaxed structure.
Lines closer than 0.1° are merged.

Crystal structure
```
data_Ba2Ag8S7
_space_group_name_H-M_alt 'P m n 21'
_space_group_IT_number 31
_space_group_name_Hall 'P 2ac -2'
_cell_length_a 16.0032
_cell_length_b 10.9278
_cell_length_c 4.4728
_cell_angle_alpha 90.00
_cell_angle_beta 90.00
_cell_angle_gamma 90.00
loop_
_atom_site_label
_atom_site_type_symbol
_atom_site_fract_x
_atom_site_fract_y
_atom_site_fract_z
Ba1 Ba 0.1356 0.1199 0.0000
Ag1 Ag 0.0000 0.4203 0.9869
Ag2 Ag 0.0000 0.7884 0.9046
Ag3 Ag 0.1075 0.5138 0.4909
Ag4 Ag 0.1445 0.8062 0.5017
Ag5 Ag 0.2070 0.6331 0.9930
S1 S 0.0000 0.0020 0.5001
S2 S 0.0000 0.1992 0.5048
S3 S 0.0000 0.6943 0.3990
S4 S 0.1531 0.4212 0.9848
S5 S 0.2221 0.8554 0.9972
```

Main lines, low angle first (10 to 90 degrees two-theta):
two_theta, d (Å), intensity, (hkl)
24.44, 3.643, 38, 0 3 0
28.09, 3.177, 56, 2 2 1
31.09, 2.877, 100, 4 1 1
33.26, 2.693, 38, 4 3 0
33.63, 2.665, 40, 6 0 0
34.26, 2.617, 43, 4 2 1
35.45, 2.532, 59, 5 1 1
39.04, 2.307, 40, 1 4 1
40.33, 2.236, 65, 0 0 2
42.31, 2.136, 35, 3 4 1

---

[2]
Theoretical powder diffractogram of BaAgS3 for Cu Kα, from a PBE-relaxed structure.
Lines closer than 0.1° are merged.

Crystal structure
```
data_BaAgS3
_space_group_name_H-M_alt 'P 1 21 1'
_space_group_IT_number 4
_space_group_name_Hall 'P 2yb'
_cell_length_a 5.2221
_cell_length_b 5.7473
_cell_length_c 9.4759
_cell_angle_alpha 90.00
_cell_angle_beta 102.42
_cell_angle_gamma 90.00
loop_
_atom_site_label
_atom_site_type_symbol
_atom_site_fract_x
_atom_site_fract_y
_atom_site_fract_z
Ba1 Ba 0.1983 0.0000 0.2958
Ag1 Ag 0.3465 0.0003 0.8706
S1 S 0.0386 0.0001 0.6335
S2 S 0.3626 0.5000 0.3728
S3 S 0.3681 0.5012 0.8931
```

Main lines, low angle first (10 to 90 degrees two-theta):
two_theta, d (Å), intensity, (hkl)
19.18, 4.627, 33, 0 0 2
21.63, 4.109, 33, 1 0 1
23.01, 3.866, 100, 1 0 -2
23.32, 3.815, 97, 1 1 0
27.81, 3.208, 44, 1 1 -2
31.12, 2.874, 93, 0 2 0
32.96, 2.718, 39, 0 1 3
37.17, 2.419, 30, 1 0 3
39.08, 2.305, 65, 1 2 -2
49.24, 1.851, 34, 1 2 3

---

[3]
Theoretical powder diffractogram of BaThAgS4 for Cu Kα, from a PBE-relaxed structure.
Lines closer than 0.1° are merged.

Crystal structure
```
data_BaThAgS4
_space_group_name_H-M_alt 'P 1 21/m 1'
_space_group_IT_number 11
_space_group_name_Hall '-P 2yb'
_cell_length_a 7.1955
_cell_length_b 5.7665
_cell_length_c 9.0220
_cell_angle_alpha 90.00
_cell_angle_beta 110.27
_cell_angle_gamma 90.00
loop_
_atom_site_label
_atom_site_type_symbol
_atom_site_fract_x
_atom_site_fract_y
_atom_site_fract_z
Ba1 Ba 0.2305 0.2500 0.4484
Th1 Th 0.2327 0.2500 0.9419
Ag1 Ag 0.2638 0.7500 0.2045
S1 S 0.0490 0.7500 0.3629
S2 S 0.0591 0.7500 0.9095
S3 S 0.4615 0.5205 0.7884
```

Main lines, low angle first (10 to 90 degrees two-theta):
two_theta, d (Å), intensity, (hkl)
10.45, 8.463, 67, 0 0 1
20.25, 4.384, 76, 1 1 0
25.76, 3.458, 100, 1 1 -2
26.12, 3.412, 44, 0 1 2
26.41, 3.375, 52, 2 0 0
31.02, 2.883, 66, 0 2 0
31.66, 2.826, 53, 2 1 -2
32.55, 2.751, 83, 1 1 2
41.18, 2.192, 59, 2 2 0
41.45, 2.179, 52, 3 1 -2